(1)
Diffraction record for PuZr2. The powder diffractogram is calculated, not measured: it uses a cell relaxed with GGA-PBE and a wavelength of 1.5418 Å.
Kinematic intensities with the Lorentz-polarization factor, no thermal factor.

Atomic structure:
Lattice parameters (Å, degrees): 2.950 5.009 5.009 60.37 90.00 90.00
Element x y z (fractional)
Pu  0.000  0.000  0.000
Zr  0.000  0.333  0.333
Zr  0.500  0.667  0.667

Principal peaks in the range 10 to 90 degrees two-theta, most intense first:
d 2.441, 2θ = 36.8°, I 100
d 2.504, 2θ = 35.9°, I 78
d 2.518, 2θ = 35.7°, I 40
d 4.354, 2θ = 20.4°, I 34
d 1.752, 2θ = 52.2°, I 25
d 1.909, 2θ = 47.6°, I 22
d 2.950, 2θ = 30.3°, I 19
d 1.271, 2θ = 74.7°, I 19
d 4.330, 2θ = 20.5°, I 16
d 1.451, 2θ = 64.2°, I 14


(2)
Diffraction record for PuZr. The powder diffractogram is calculated, not measured: it uses a cell relaxed with GGA-PBE and a wavelength of 1.5418 Å.
Kinematic intensities with the Lorentz-polarization factor, no thermal factor.

Atomic structure:
Lattice parameters (Å, degrees): 5.592 5.592 5.592 34.06 34.06 34.06
Element x y z (fractional)
Pu  0.000  0.000  0.000
Zr  0.500  0.500  0.500

Principal peaks in the range 10 to 90 degrees two-theta, most intense first:
d 2.670, 2θ = 33.6°, I 100
d 2.304, 2θ = 39.1°, I 66
d 2.631, 2θ = 34.1°, I 32
d 5.263, 2θ = 16.8°, I 30
d 1.391, 2θ = 67.3°, I 27
d 1.638, 2θ = 56.2°, I 23
d 1.620, 2θ = 56.8°, I 23
d 2.792, 2θ = 32.1°, I 21
d 1.396, 2θ = 67.0°, I 14
d 1.380, 2θ = 67.9°, I 13


(3)
Diffraction record for Rb. The powder diffractogram is calculated, not measured: it uses a cell relaxed with GGA-PBE and a wavelength of 1.5418 Å.
Kinematic intensities with the Lorentz-polarization factor, no thermal factor.

Atomic structure:
Lattice parameters (Å, degrees): 8.112 8.331 12.018 108.37 107.91 94.36
Element x y z (fractional)
Rb  0.000  0.000  0.000
Rb  0.118  0.607  0.249
Rb  0.250  0.194  0.504
Rb  0.378  0.788  0.761
Rb  0.498  0.409  0.005
Rb  0.624  0.054  0.248
Rb  0.750  0.727  0.510
Rb  0.869  0.366  0.748

Principal peaks in the range 10 to 90 degrees two-theta, most intense first:
d 3.998, 2θ = 22.2°, I 100
d 4.044, 2θ = 22.0°, I 54
d 4.153, 2θ = 21.4°, I 47
d 3.876, 2θ = 22.9°, I 47
d 3.846, 2θ = 23.1°, I 45
d 2.355, 2θ = 38.2°, I 24
d 3.014, 2θ = 29.6°, I 21
d 2.671, 2θ = 33.6°, I 18
d 2.793, 2θ = 32.0°, I 17
d 1.999, 2θ = 45.4°, I 12


(4)
Diffraction record for Rb. The powder diffractogram is calculated, not measured: it uses a cell relaxed with GGA-PBE and a wavelength of 1.5418 Å.
Kinematic intensities with the Lorentz-polarization factor, no thermal factor.

Atomic structure:
Lattice parameters (Å, degrees): 5.051 5.051 8.193 90.00 90.00 120.00
Element x y z (fractional)
Rb  0.333  0.667  0.250
Rb  0.667  0.333  0.750

Principal peaks in the range 10 to 90 degrees two-theta, most intense first:
d 3.859, 2θ = 23.1°, I 100
d 2.150, 2θ = 42.0°, I 27
d 4.096, 2θ = 21.7°, I 26
d 2.316, 2θ = 38.9°, I 25
d 4.374, 2θ = 20.3°, I 23
d 2.525, 2θ = 35.5°, I 21
d 2.113, 2θ = 42.8°, I 19
d 2.990, 2θ = 29.9°, I 17
d 1.621, 2θ = 56.8°, I 16
d 1.534, 2θ = 60.3°, I 11


(5)
Diffraction record for Rb. The powder diffractogram is calculated, not measured: it uses a cell relaxed with GGA-PBE and a wavelength of 1.5418 Å.
Kinematic intensities with the Lorentz-polarization factor, no thermal factor.

Atomic structure:
Lattice parameters (Å, degrees): 5.110 5.110 5.110 122.21 122.21 86.21
Element x y z (fractional)
Rb  0.000  0.000  0.000

Principal peaks in the range 10 to 90 degrees two-theta, most intense first:
d 4.118, 2θ = 21.6°, I 100
d 3.492, 2θ = 25.5°, I 33
d 2.117, 2θ = 42.7°, I 32
d 2.549, 2θ = 35.2°, I 28
d 3.731, 2θ = 23.9°, I 20
d 2.221, 2θ = 40.6°, I 19
d 2.059, 2θ = 44.0°, I 15
d 1.651, 2θ = 55.7°, I 15
d 2.469, 2θ = 36.4°, I 13
d 1.440, 2θ = 64.7°, I 9


(6)
Diffraction record for Rb. The powder diffractogram is calculated, not measured: it uses a cell relaxed with GGA-PBE and a wavelength of 1.5418 Å.
Kinematic intensities with the Lorentz-polarization factor, no thermal factor.

Atomic structure:
Lattice parameters (Å, degrees): 8.979 9.420 9.985 102.42 114.11 92.54
Element x y z (fractional)
Rb  0.000  0.000  0.000
Rb  0.024  0.492  0.985
Rb  0.089  0.480  0.477
Rb  0.416  0.997  0.501
Rb  0.485  0.786  0.980
Rb  0.530  0.297  0.020
Rb  0.610  0.518  0.533
Rb  0.909  0.986  0.484

Principal peaks in the range 10 to 90 degrees two-theta, most intense first:
d 4.406, 2θ = 20.2°, I 100
d 3.935, 2θ = 22.6°, I 63
d 4.546, 2θ = 19.5°, I 60
d 4.053, 2θ = 21.9°, I 40
d 3.735, 2θ = 23.8°, I 35
d 2.273, 2θ = 39.7°, I 34
d 4.086, 2θ = 21.8°, I 34
d 3.511, 2θ = 25.4°, I 31
d 3.682, 2θ = 24.2°, I 30
d 3.803, 2θ = 23.4°, I 21